No. 1
# CoAs4F18
Theoretical powder diffraction line list, Cu Kα. Input: a structure optimized by DFT (PBE+U).
Neutral-atom scattering factors, no anomalous dispersion.

Structural model:
Unit cell a=7.424 b=13.141 c=10.346 alpha=90.00 beta=134.00 gamma=90.00
Space group P2_1/c (No. 14)
One atom of each set of equivalent atoms:
Co1 0.000 0.000 0.000 (multiplicity 2)
As1 0.079 0.219 0.561 (multiplicity 4)
As2 0.500 0.000 0.000 (multiplicity 2)
As3 0.500 0.000 0.500 (multiplicity 2)
F1 0.012 0.154 0.958 (multiplicity 4)
F2 0.017 0.745 0.332 (multiplicity 4)
F3 0.210 0.028 0.267 (multiplicity 4)
F4 0.231 0.051 0.791 (multiplicity 4)
F5 0.317 0.532 0.553 (multiplicity 4)
F6 0.321 0.545 0.041 (multiplicity 4)
F7 0.395 0.247 0.742 (multiplicity 4)
F8 0.432 0.619 0.401 (multiplicity 4)
F9 0.489 0.122 0.561 (multiplicity 4)

Top 10 peaks for 2θ = 15–90°, sorted by position:
two_theta, intensity, (hkl)
21.44, 65.3, 1 2 0
21.87, 71.1, 1 2 -2
23.58, 21.3, 1 3 -1
23.96, 100.0, 2 0 -2
24.87, 16.3, 0 1 2
27.14, 38.9, 0 4 0
27.57, 17.5, 0 2 2
33.57, 19.7, 2 0 0
36.51, 15.1, 2 4 -2
41.18, 15.1, 3 2 -4

No. 2
# LaMgCr2O6
Theoretical powder diffraction line list, Cu Kα. Input: a structure optimized by DFT (PBE+U).
Neutral-atom scattering factors, no anomalous dispersion.

Structural model:
Unit cell a=7.749 b=5.419 c=5.317 alpha=90.00 beta=90.00 gamma=90.00
Space group Pmn2_1 (No. 31)
One atom of each set of equivalent atoms:
La1 0.000 0.213 0.000 (multiplicity 2)
Mg1 0.000 0.697 0.479 (multiplicity 2)
Cr1 0.250 0.254 0.492 (multiplicity 4)
O1 0.000 0.304 0.573 (multiplicity 2)
O2 0.000 0.773 0.870 (multiplicity 2)
O3 0.192 0.941 0.302 (multiplicity 4)
O4 0.196 0.477 0.211 (multiplicity 4)

Top 10 peaks for 2θ = 15–90°, sorted by position:
two_theta, intensity, (hkl)
20.00, 28.1, 1 1 0
20.25, 27.9, 1 0 1
33.04, 100.0, 2 1 1
33.71, 17.4, 0 0 2
39.50, 14.6, 1 1 2
46.90, 12.9, 4 0 0
47.94, 22.3, 0 2 2
59.02, 21.7, 4 0 2
59.87, 19.4, 2 1 3
69.33, 12.6, 4 2 2

No. 3
# Li7Mn5O12
Theoretical powder diffraction line list, Cu Kα. Input: a structure optimized by DFT (PBE+U).
Neutral-atom scattering factors, no anomalous dispersion.

Structural model:
Unit cell a=2.985 b=7.672 c=9.803 alpha=91.85 beta=96.18 gamma=98.38
Space group P-1 (No. 2)
One atom of each set of equivalent atoms:
Li1 0.000 0.000 0.000 (multiplicity 1)
Li2 0.083 0.416 0.747 (multiplicity 2)
Li3 0.231 0.240 0.243 (multiplicity 2)
Li4 0.404 0.071 0.758 (multiplicity 2)
Mn1 0.167 0.833 0.500 (multiplicity 2)
Mn2 0.327 0.675 0.996 (multiplicity 2)
Mn3 0.500 0.500 0.500 (multiplicity 1)
O1 0.098 0.232 0.893 (multiplicity 2)
O2 0.161 0.631 0.617 (multiplicity 2)
O3 0.170 0.034 0.381 (multiplicity 2)
O4 0.264 0.451 0.105 (multiplicity 2)
O5 0.361 0.858 0.882 (multiplicity 2)
O6 0.498 0.299 0.620 (multiplicity 2)

Top 10 peaks for 2θ = 15–90°, sorted by position:
two_theta, intensity, (hkl)
18.23, 100.0, 0 0 2
34.39, 17.2, 1 1 0
36.34, 22.9, 0 3 -1
41.15, 35.0, 1 1 2
44.16, 28.7, -1 2 3
44.35, 27.7, 0 3 -3
61.53, 8.4, 0 3 5
62.22, 8.3, 1 -2 5
62.36, 8.4, -2 1 1
63.93, 9.4, 1 1 -6

No. 4
# RbDyW2O8
Theoretical powder diffraction line list, Cu Kα. Input: a structure optimized by DFT (PBE+U).
Neutral-atom scattering factors, no anomalous dispersion.

Structural model:
Unit cell a=9.172 b=10.439 c=8.076 alpha=90.00 beta=98.55 gamma=90.00
Space group P2_1/c (No. 14)
One atom of each set of equivalent atoms:
Rb1 0.011 0.216 0.073 (multiplicity 4)
Dy1 0.436 0.223 0.979 (multiplicity 4)
W1 0.282 0.514 0.214 (multiplicity 4)
W2 0.338 0.512 0.824 (multiplicity 4)
O1 0.110 0.591 0.155 (multiplicity 4)
O2 0.175 0.590 0.733 (multiplicity 4)
O3 0.233 0.123 0.840 (multiplicity 4)
O4 0.275 0.100 0.501 (multiplicity 4)
O5 0.346 0.139 0.204 (multiplicity 4)
O6 0.371 0.620 0.381 (multiplicity 4)
O7 0.408 0.604 0.045 (multiplicity 4)
O8 0.493 0.605 0.743 (multiplicity 4)

Top 10 peaks for 2θ = 15–90°, sorted by position:
two_theta, intensity, (hkl)
25.46, 18.5, 2 1 1
26.03, 100.0, 2 2 0
27.48, 71.4, 2 0 -2
27.97, 27.6, 0 3 1
28.14, 96.5, 0 2 2
29.54, 18.7, 3 0 0
34.35, 38.5, 0 4 0
34.78, 19.9, 0 1 3
44.55, 25.1, 2 4 -2
45.14, 18.5, 2 3 -3

No. 5
# Fe3H9S2O15
Theoretical powder diffraction line list, Cu Kα. Input: a structure optimized by DFT (PBE+U).
Neutral-atom scattering factors, no anomalous dispersion.

Structural model:
Unit cell a=7.149 b=7.165 c=7.172 alpha=62.99 beta=62.30 gamma=63.19
Space group P1 (No. 1)
One atom of each set of equivalent atoms:
Fe1 0.000 0.000 0.000 (multiplicity 1)
Fe2 0.002 0.506 0.488 (multiplicity 1)
Fe3 0.497 0.008 0.493 (multiplicity 1)
H1 0.114 0.029 0.401 (multiplicity 1)
H2 0.283 0.702 0.184 (multiplicity 1)
H3 0.298 0.727 0.798 (multiplicity 1)
H4 0.309 0.311 0.209 (multiplicity 1)
H5 0.696 0.705 0.776 (multiplicity 1)
H6 0.700 0.283 0.194 (multiplicity 1)
H7 0.714 0.306 0.808 (multiplicity 1)
H8 0.910 0.909 0.551 (multiplicity 1)
H9 0.917 0.119 0.617 (multiplicity 1)
S1 0.302 0.316 0.802 (multiplicity 1)
S2 0.686 0.698 0.190 (multiplicity 1)
O1 0.120 0.741 0.231 (multiplicity 1)
O2 0.162 0.178 0.996 (multiplicity 1)
O3 0.162 0.499 0.666 (multiplicity 1)
O4 0.258 0.265 0.372 (multiplicity 1)
O5 0.267 0.885 0.763 (multiplicity 1)
O6 0.388 0.405 0.884 (multiplicity 1)
O7 0.491 0.178 0.663 (multiplicity 1)
O8 0.495 0.836 0.329 (multiplicity 1)
O9 0.602 0.608 0.107 (multiplicity 1)
O10 0.724 0.128 0.218 (multiplicity 1)
O11 0.752 0.754 0.612 (multiplicity 1)
O12 0.823 0.515 0.328 (multiplicity 1)
O13 0.827 0.835 0.998 (multiplicity 1)
O14 0.877 0.252 0.744 (multiplicity 1)
O15 0.961 0.040 0.501 (multiplicity 1)

Top 10 peaks for 2θ = 15–90°, sorted by position:
two_theta, intensity, (hkl)
15.49, 51.6, 1 1 1
17.05, 45.1, 1 0 1
17.24, 94.1, 0 1 1
27.85, 46.2, 1 -1 1
28.21, 100.0, 1 1 -1
28.44, 81.9, 2 0 1
28.62, 47.0, 1 2 0
31.28, 24.3, 2 2 2
39.31, 48.1, 2 3 2
48.60, 38.4, 0 2 -2